No. 1
# EuIn8Rh2
Calculated X-ray powder pattern, CuKα. Input: a DFT-relaxed cell (PBE, the Materials Project).
Peak positions follow from Bragg's law for the DFT cell and can differ from measured ones.

Structural model:
```
data_EuIn8Rh2
_chemical_formula_sum 'Eu4 In32 Rh8'
_cell_length_a 14.075
_cell_length_b 16.398
_cell_length_c 4.423
_cell_angle_alpha 90.00
_cell_angle_beta 90.00
_cell_angle_gamma 90.00
_symmetry_space_group_name_H-M 'P 1'
_symmetry_Int_Tables_number 1
loop_
_symmetry_equiv_pos_as_xyz
'x,y,z'
loop_
_atom_site_label
_atom_site_fract_x
_atom_site_fract_y
_atom_site_fract_z
Eu1 0.157 0.181 0.000
Eu2 0.343 0.681 0.000
Eu3 0.657 0.319 0.000
Eu4 0.843 0.819 0.000
In1 0.000 0.000 0.000
In2 0.000 0.500 0.500
In3 0.019 0.867 0.500
In4 0.051 0.316 0.500
In5 0.101 0.747 0.000
In6 0.160 0.456 0.000
In7 0.167 0.623 0.500
In8 0.170 0.012 0.500
In9 0.240 0.822 0.500
In10 0.260 0.322 0.500
In11 0.330 0.512 0.500
In12 0.333 0.123 0.500
In13 0.340 0.956 0.000
In14 0.399 0.247 0.000
In15 0.449 0.816 0.500
In16 0.481 0.367 0.500
In17 0.500 0.000 0.500
In18 0.500 0.500 0.000
In19 0.519 0.633 0.500
In20 0.551 0.184 0.500
In21 0.601 0.753 0.000
In22 0.660 0.044 0.000
In23 0.667 0.877 0.500
In24 0.670 0.488 0.500
In25 0.740 0.678 0.500
In26 0.760 0.178 0.500
In27 0.830 0.988 0.500
In28 0.833 0.377 0.500
In29 0.840 0.544 0.000
In30 0.899 0.253 0.000
In31 0.949 0.684 0.500
In32 0.981 0.133 0.500
Rh1 0.034 0.596 0.000
Rh2 0.154 0.904 0.000
Rh3 0.346 0.404 0.000
Rh4 0.466 0.096 0.000
Rh5 0.534 0.904 0.000
Rh6 0.654 0.596 0.000
Rh7 0.846 0.096 0.000
Rh8 0.966 0.404 0.000
```

Most intense lines, 10° ≤ 2θ ≤ 90°, sorted by position:
30.40°, I 70
32.28°, I 100
32.52°, I 27
32.99°, I 34
38.77°, I 55
39.22°, I 51
39.51°, I 40
40.59°, I 35
40.81°, I 67
58.92°, I 24
63.87°, I 20
65.58°, I 20

---

No. 2
# EuInRh
Calculated X-ray powder pattern, CuKα. Input: a DFT-relaxed cell (PBE, the Materials Project).
Peak positions follow from Bragg's law for the DFT cell and can differ from measured ones.

Structural model:
```
data_EuInRh
_chemical_formula_sum 'Eu4 In4 Rh4'
_cell_length_a 7.472
_cell_length_b 4.401
_cell_length_c 8.547
_cell_angle_alpha 90.00
_cell_angle_beta 90.00
_cell_angle_gamma 90.00
_symmetry_space_group_name_H-M 'P 1'
_symmetry_Int_Tables_number 1
loop_
_symmetry_equiv_pos_as_xyz
'x,y,z'
loop_
_atom_site_label
_atom_site_fract_x
_atom_site_fract_y
_atom_site_fract_z
Eu1 0.028 0.250 0.177
Eu2 0.472 0.750 0.677
Eu3 0.528 0.250 0.323
Eu4 0.972 0.750 0.823
In1 0.147 0.250 0.564
In2 0.353 0.750 0.064
In3 0.647 0.250 0.936
In4 0.853 0.750 0.436
Rh1 0.225 0.750 0.372
Rh2 0.275 0.250 0.872
Rh3 0.725 0.750 0.128
Rh4 0.775 0.250 0.628
```

Most intense lines, 10° ≤ 2θ ≤ 90°, sorted by position:
31.41°, I 22
31.54°, I 87
31.82°, I 14
33.16°, I 100
33.67°, I 27
37.61°, I 63
39.57°, I 25
41.02°, I 43
41.99°, I 20
54.07°, I 14
56.87°, I 17
60.88°, I 20

---

No. 3
# EuIn2Rh
Calculated X-ray powder pattern, CuKα. Input: a DFT-relaxed cell (PBE, the Materials Project).
Peak positions follow from Bragg's law for the DFT cell and can differ from measured ones.

Structural model:
```
data_EuIn2Rh
_chemical_formula_sum 'Eu2 In4 Rh2'
_cell_length_a 5.714
_cell_length_b 5.714
_cell_length_c 8.230
_cell_angle_alpha 90.00
_cell_angle_beta 90.00
_cell_angle_gamma 135.41
_symmetry_space_group_name_H-M 'P 1'
_symmetry_Int_Tables_number 1
loop_
_symmetry_equiv_pos_as_xyz
'x,y,z'
loop_
_atom_site_label
_atom_site_fract_x
_atom_site_fract_y
_atom_site_fract_z
Eu1 0.063 0.937 0.750
Eu2 0.937 0.063 0.250
In1 0.351 0.649 0.551
In2 0.351 0.649 0.949
In3 0.649 0.351 0.051
In4 0.649 0.351 0.449
Rh1 0.218 0.782 0.250
Rh2 0.782 0.218 0.750
```

Most intense lines, 10° ≤ 2θ ≤ 90°, sorted by position:
31.14°, I 100
32.75°, I 28
34.56°, I 66
35.67°, I 34
36.91°, I 27
39.57°, I 23
39.81°, I 27
40.56°, I 16
41.67°, I 37
55.98°, I 19
56.85°, I 25
65.43°, I 17